[1]
Diffraction record for Ho3Zr2Bi3. The powder X-ray diffraction pattern is computed, not measured: it uses a DFT-relaxed cell (GGA-PBE, Alexandria) and Cu Kα (λ = 1.5418 Å).

Atomic structure:
```
data_Ho3Zr2Bi3
_symmetry_space_group_name_H-M 'P 1'
_symmetry_Int_Tables_number 1
_cell_length_a 8.9703
_cell_length_b 8.9703
_cell_length_c 6.1040
_cell_angle_alpha 90.00
_cell_angle_beta 90.00
_cell_angle_gamma 120.00
loop_
_symmetry_equiv_pos_as_xyz
'x,y,z'
loop_
_atom_site_label
_atom_site_fract_x
_atom_site_fract_y
_atom_site_fract_z
_atom_site_occupancy
Ho1 0.0000 0.2488 0.2500 1
Ho2 0.0000 0.7512 0.7500 1
Ho3 0.2488 0.0000 0.2500 1
Ho4 0.2488 0.2488 0.7500 1
Ho5 0.7512 0.0000 0.7500 1
Ho6 0.7512 0.7512 0.2500 1
Zr1 0.3333 0.6667 0.0000 1
Zr2 0.3333 0.6667 0.5000 1
Zr3 0.6667 0.3333 0.0000 1
Zr4 0.6667 0.3333 0.5000 1
Bi1 0.0000 0.3926 0.7500 1
Bi2 0.0000 0.6074 0.2500 1
Bi3 0.3926 0.0000 0.7500 1
Bi4 0.3926 0.3926 0.2500 1
Bi5 0.6074 0.0000 0.2500 1
Bi6 0.6074 0.6074 0.7500 1
```

Main lines, in order of rising 2θ (2θ = 10–90°):
2theta  I (rel.)
19.79  16
29.26  30
33.88  100
34.64  37
35.58  50
44.60  22
54.90  26
67.67  16

=====

[2]
Diffraction record for Sm2MgSe4. The powder X-ray diffraction pattern is computed, not measured: it uses a DFT-relaxed cell (GGA-PBE, Alexandria) and Cu Kα (λ = 1.5418 Å).

Atomic structure:
```
data_Sm2MgSe4
_symmetry_space_group_name_H-M 'P 1'
_symmetry_Int_Tables_number 1
_cell_length_a 7.6313
_cell_length_b 7.6313
_cell_length_c 7.6313
_cell_angle_alpha 110.89
_cell_angle_beta 110.89
_cell_angle_gamma 106.67
loop_
_symmetry_equiv_pos_as_xyz
'x,y,z'
loop_
_atom_site_label
_atom_site_fract_x
_atom_site_fract_y
_atom_site_fract_z
_atom_site_occupancy
Sm1 0.0020 0.6250 0.8770 1
Sm2 0.3750 0.2520 0.3770 1
Sm3 0.7480 0.1250 0.1230 1
Sm4 0.8750 0.9980 0.6230 1
Mg1 0.2500 0.7500 0.5000 1
Mg2 0.5000 0.5000 0.0000 1
Se1 0.0055 0.8768 0.2644 1
Se2 0.1232 0.3876 0.1286 1
Se3 0.1376 0.3732 0.6286 1
Se4 0.2589 0.9945 0.8714 1
Se5 0.4911 0.8624 0.2356 1
Se6 0.6124 0.7411 0.7356 1
Se7 0.6268 0.2555 0.7644 1
Se8 0.7445 0.5089 0.3714 1
```

Main lines, in order of rising 2θ (2θ = 10–90°):
2theta  I (rel.)
14.11  28
24.35  26
31.20  58
32.55  49
32.71  100
37.64  84
38.79  37
48.32  28

=====

[3]
Diffraction record for NpFe2Ni9. The powder X-ray diffraction pattern is computed, not measured: it uses a DFT-relaxed cell (GGA-PBE, Alexandria) and Cu Kα (λ = 1.5418 Å).

Atomic structure:
```
data_NpFe2Ni9
_symmetry_space_group_name_H-M 'P 1'
_symmetry_Int_Tables_number 1
_cell_length_a 8.2235
_cell_length_b 8.2235
_cell_length_c 8.2235
_cell_angle_alpha 33.52
_cell_angle_beta 33.52
_cell_angle_gamma 33.52
loop_
_symmetry_equiv_pos_as_xyz
'x,y,z'
loop_
_atom_site_label
_atom_site_fract_x
_atom_site_fract_y
_atom_site_fract_z
_atom_site_occupancy
Np1 0.0000 0.0000 0.0000 1
Fe1 0.1482 0.1482 0.1482 1
Fe2 0.8518 0.8518 0.8518 1
Ni1 0.0823 0.5901 0.5901 1
Ni2 0.3340 0.3340 0.3340 1
Ni3 0.4099 0.4099 0.9177 1
Ni4 0.4099 0.9177 0.4099 1
Ni5 0.5000 0.5000 0.5000 1
Ni6 0.5901 0.0823 0.5901 1
Ni7 0.5901 0.5901 0.0823 1
Ni8 0.6660 0.6660 0.6660 1
Ni9 0.9177 0.4099 0.4099 1
```

Main lines, in order of rising 2θ (2θ = 10–90°):
2theta  I (rel.)
11.41  21
26.57  19
34.72  27
37.93  47
44.28  27
44.80  100
46.87  21
73.32  23

=====

Q: Which formula does entry 1 have?
A: Ho3Zr2Bi3